For KSm2US5, a DFT-relaxed cell (GGA-PBE, Alexandria) gives the calculated X-ray diffraction stick pattern in this record (λ = 1.5418 Å (Cu Kα)).
Lines closer than 0.1° are merged.

Main lines, by intensity (10 to 90 degrees two-theta):
2theta  I (rel.)
25.21  100
13.94  82
36.49  43
44.03  35
34.81  25
24.89  24
35.74  24
36.15  23
50.75  18
51.75  16

Crystal structure
a = 8.173 Å, b = 8.173 Å, c = 8.173 Å
α = 144.20°, β = 128.08°, γ = 64.67°
Element x y z (fractional)
K (0.000, 0.000, 0.000)
Sm (0.296, 0.796, 0.500)
Sm (0.704, 0.204, 0.500)
U (0.500, 0.500, 0.000)
S (0.110, 0.348, 0.762)
S (0.414, 0.652, 0.762)
S (0.500, 0.000, 0.500)
S (0.586, 0.348, 0.238)
S (0.890, 0.652, 0.238)

=====

For Th8ReNi2, a DFT-relaxed cell (GGA-PBE, Alexandria) gives the calculated X-ray diffraction stick pattern in this record (λ = 1.5418 Å (Cu Kα)).
Lines closer than 0.1° are merged.

Main lines, by intensity (10 to 90 degrees two-theta):
2theta  I (rel.)
31.51  100
31.25  82
33.94  72
32.69  69
35.83  57
37.76  54
54.72  39
49.55  32
26.92  30
30.62  26

Crystal structure
a = 7.780 Å, b = 7.780 Å, c = 5.863 Å
α = 100.30°, β = 100.30°, γ = 116.78°
Element x y z (fractional)
Th (0.000, 0.000, 0.000)
Th (0.050, 0.282, 0.590)
Th (0.134, 0.574, 0.172)
Th (0.282, 0.050, 0.590)
Th (0.464, 0.702, 0.748)
Th (0.574, 0.134, 0.172)
Th (0.702, 0.464, 0.748)
Th (0.743, 0.743, 0.349)
Re (0.371, 0.371, 0.184)
Ni (0.089, 0.688, 0.698)
Ni (0.688, 0.089, 0.698)

=====

For Tb8SmHo2, a DFT-relaxed cell (GGA-PBE, Alexandria) gives the calculated X-ray diffraction stick pattern in this record (λ = 1.5418 Å (Cu Kα)).
Lines closer than 0.1° are merged.

Main lines, by intensity (10 to 90 degrees two-theta):
2theta  I (rel.)
32.12  100
32.36  35
29.80  27
57.56  19
32.52  16
33.89  14
61.89  12
33.52  12
56.12  12
63.13  12

Crystal structure
a = 9.338 Å, b = 9.338 Å, c = 9.338 Å
α = 145.53°, β = 128.34°, γ = 63.60°
Element x y z (fractional)
Tb (0.156, 0.362, 0.794)
Tb (0.163, 0.163, 0.000)
Tb (0.295, 0.000, 0.295)
Tb (0.432, 0.638, 0.794)
Tb (0.568, 0.362, 0.206)
Tb (0.705, 0.000, 0.705)
Tb (0.837, 0.837, 0.000)
Tb (0.844, 0.638, 0.206)
Sm (0.000, 0.500, 0.500)
Ho (0.300, 0.800, 0.500)
Ho (0.700, 0.200, 0.500)

=====

For Ac2TmC2N6, a DFT-relaxed cell (GGA-PBE, Alexandria) gives the calculated X-ray diffraction stick pattern in this record (λ = 1.5418 Å (Cu Kα)).
Lines closer than 0.1° are merged.

Main lines, by intensity (10 to 90 degrees two-theta):
2theta  I (rel.)
32.32  100
28.73  69
33.14  53
27.39  42
43.52  35
19.66  33
21.36  30
58.71  29
56.53  18
53.95  17

Crystal structure
a = 5.542 Å, b = 5.542 Å, c = 6.622 Å
α = 117.47°, β = 117.47°, γ = 58.37°
Element x y z (fractional)
Ac (0.215, 0.215, 0.199)
Ac (0.785, 0.785, 0.801)
Tm (0.000, 0.000, 0.500)
C (0.439, 0.439, 0.744)
C (0.561, 0.561, 0.256)
N (0.261, 0.698, 0.224)
N (0.277, 0.277, 0.669)
N (0.302, 0.739, 0.776)
N (0.698, 0.261, 0.224)
N (0.723, 0.723, 0.331)
N (0.739, 0.302, 0.776)